Computed XRD peak list
Compound: V3O8
Radiation: a wavelength of 1.5418 Å
Structure: DFT lattice parameters and positions (PBE+U)
Kinematic intensities with the Lorentz-polarization factor, no thermal factor.

Largest 8 diffraction maxima, by angle, 2θ from 10° to 80°:
d/Å, 2θ/deg, I (rel.)
5.108, 17.36, 100.0
4.942, 17.95, 19.9
4.162, 21.35, 32.5
3.905, 22.77, 47.8
3.176, 28.09, 43.2
2.451, 36.66, 48.2
1.919, 47.38, 20.1
1.871, 48.66, 27.5

Cell and atoms:
```
V3O8
1.0
9.7351 -1.4366 0.0000
9.7351 1.4366 0.0000
-2.1329 0.0000 10.2164
V O
6 16
Cartesian
8.6686 1.4244 5.1082
11.2805 0.0268 6.7351
12.3470 -0.0268 1.6269
15.9097 0.2419 0.8249
14.8433 -0.2419 5.9331
9.7351 -1.4244 0.0000
1.0318 0.0573 5.3978
2.0983 -0.0573 0.2896
1.4300 0.0274 7.8502
2.4965 -0.0274 2.7420
4.8778 0.0727 4.6905
5.3443 0.0875 7.1828
3.8114 -0.0727 9.7987
6.4108 -0.0875 2.0746
8.7755 0.0043 3.9916
7.7090 -0.0043 9.0998
10.2589 0.0203 1.3319
9.1924 -0.0203 6.4401
12.9159 0.0316 6.2994
13.9824 -0.0316 1.1912
16.7762 0.0090 5.5624
17.8427 -0.0090 0.4542
```

---

Computed XRD peak list
Compound: NaMnO2
Radiation: a wavelength of 1.5418 Å
Structure: DFT lattice parameters and positions (PBE+U)
Kinematic intensities with the Lorentz-polarization factor, no thermal factor.

Largest 8 diffraction maxima, by angle, 2θ from 10° to 80°:
d/Å, 2θ/deg, I (rel.)
5.388, 16.45, 54.3
2.694, 33.25, 13.9
2.555, 35.12, 28.5
2.241, 40.24, 100.0
1.616, 56.98, 26.8
1.555, 59.45, 28.0
1.347, 69.84, 13.2
1.277, 74.24, 12.2

Cell and atoms:
```
NaMnO2
1.0
1.5548 0.8977 5.3884
-1.5548 0.8977 5.3884
0.0000 -1.7953 5.3884
Na Mn O
1 1 2
Cartesian
0.0000 0.0000 0.0000
0.0000 0.0000 8.0826
0.0000 0.0000 3.7630
0.0000 0.0000 12.4021
```

---

Computed XRD peak list
Compound: Li3VO3F
Radiation: a wavelength of 1.5418 Å
Structure: DFT lattice parameters and positions (PBE+U)
Kinematic intensities with the Lorentz-polarization factor, no thermal factor.

Largest 8 diffraction maxima, by angle, 2θ from 10° to 80°:
d/Å, 2θ/deg, I (rel.)
5.900, 15.02, 100.0
3.416, 26.09, 13.5
3.401, 26.20, 50.7
2.096, 43.16, 36.8
2.081, 43.48, 26.8
2.075, 43.62, 35.0
1.478, 62.90, 23.4
1.471, 63.22, 16.4

Cell and atoms:
```
Li3VO3F
1.0
7.2015 0.0000 0.0000
-2.4010 6.8017 0.0000
-2.3482 -3.4312 5.9144
Li V O F
12 4 12 4
Cartesian
0.0000 0.0000 0.0000
-2.3240 -0.9724 4.4556
-0.2036 -0.3618 3.0717
-2.4858 4.0618 4.5109
2.2008 0.6787 1.5621
0.0063 2.2587 4.5135
0.2146 0.0426 5.8545
2.2731 2.9640 3.1319
2.3557 0.8097 4.4562
4.7544 1.6922 0.0442
2.4315 5.8783 1.5196
4.7517 1.6108 3.0235
-2.5199 1.6287 5.9143
-0.0605 2.2514 1.5323
-0.3076 4.7974 3.0657
4.5679 4.1497 1.5355
-1.1790 3.3317 0.0787
-3.3908 2.5686 4.4101
1.0932 1.3223 0.1358
-1.0636 3.4051 2.9939
0.7447 6.2118 0.2085
1.1326 -1.2297 4.5701
1.4479 1.6873 2.9197
3.1873 4.8127 0.1651
3.5493 2.3807 1.5438
3.7579 0.1121 2.8468
5.8745 0.8426 1.5222
5.9384 -1.6416 2.9386
-1.3399 0.6652 4.5146
-1.2397 5.7941 1.5172
0.9922 4.0448 1.5563
1.1448 4.1663 4.4785
```

---

Computed XRD peak list
Compound: Ba2Fe2CuF14
Radiation: a wavelength of 1.5418 Å
Structure: DFT lattice parameters and positions (PBE+U)
Kinematic intensities with the Lorentz-polarization factor, no thermal factor.

Largest 8 diffraction maxima, by angle, 2θ from 10° to 80°:
d/Å, 2θ/deg, I (rel.)
5.100, 17.39, 27.4
4.223, 21.04, 39.8
3.803, 23.39, 35.2
3.580, 24.87, 100.0
3.257, 27.38, 24.7
3.059, 29.20, 44.5
2.219, 40.66, 26.3
1.690, 54.30, 23.5

Cell and atoms:
```
Ba2Fe2CuF14
1.0
7.1098 -2.7319 0.0000
7.1098 2.7319 0.0000
-0.2882 0.0000 15.2110
Ba Fe Cu F
4 4 2 28
Cartesian
2.5350 0.3082 2.0057
2.3909 -0.3082 9.6112
11.5405 0.3082 5.5997
11.3964 -0.3082 13.2052
1.6328 0.0802 5.6266
1.4887 -0.0802 13.2321
12.4427 0.0802 1.9789
12.2986 -0.0802 9.5843
7.1098 0.0000 0.0000
6.9657 0.0000 7.6055
4.4915 1.6936 3.3177
7.0520 2.4204 2.3173
7.0236 2.4204 5.2882
5.1921 1.4370 0.7148
3.3792 0.5987 6.3203
5.1328 1.1960 10.7415
5.8594 1.4366 7.8943
7.9279 1.4366 14.9221
3.2351 -0.5987 13.9258
9.5841 1.6936 4.2878
8.8834 1.4370 6.8907
6.0112 0.2867 13.6645
8.6545 1.1960 12.0749
6.1553 -0.2867 6.0590
7.7762 0.2867 9.1519
5.2769 -1.1960 3.1360
7.9203 -0.2867 1.5465
5.0480 -1.4370 8.3203
4.3474 -1.6936 10.9232
10.6964 0.5987 1.2852
6.0036 -1.4366 0.2888
8.0720 -1.4366 7.3167
8.7986 -1.1960 4.4694
10.5523 -0.5987 8.8907
8.7393 -1.4370 14.4962
6.9078 -2.4204 9.9228
6.8795 -2.4204 12.8937
9.4399 -1.6936 11.8933
```

---

Computed XRD peak list
Compound: Li4V2SiGeO10
Radiation: a wavelength of 1.5418 Å
Structure: DFT lattice parameters and positions (PBE+U)
Kinematic intensities with the Lorentz-polarization factor, no thermal factor.

Largest 8 diffraction maxima, by angle, 2θ from 10° to 80°:
d/Å, 2θ/deg, I (rel.)
4.559, 19.47, 76.4
3.734, 23.83, 28.6
3.254, 27.41, 100.0
2.649, 33.84, 90.8
2.151, 42.00, 15.3
1.627, 56.56, 26.3
1.619, 56.86, 25.1
1.386, 67.57, 21.3

Cell and atoms:
```
Li4V2SiGeO10
1.0
4.5587 0.0000 0.0000
0.0000 9.2062 0.0000
0.0000 0.0000 9.2017
Li V Si Ge O
8 4 2 2 20
Cartesian
0.0000 0.0000 0.0000
0.0000 0.0000 4.6008
0.0000 2.2682 2.3004
0.0000 2.2682 6.9013
0.0000 4.6031 0.0000
0.0000 4.6031 4.6008
0.0000 6.9381 2.3004
0.0000 6.9381 6.9013
1.8686 2.2616 0.0000
1.8686 6.9446 4.6008
2.6901 2.2616 4.6008
2.6901 6.9446 0.0000
2.2793 0.0000 2.3004
2.2793 0.0000 6.9013
2.2793 4.6031 2.3004
2.2793 4.6031 6.9013
1.0114 2.2884 4.6008
1.0114 6.9178 0.0000
1.2068 3.5968 1.3173
1.2068 3.5968 7.8843
1.2068 5.6094 3.2835
1.2068 5.6094 5.9182
1.2893 0.9250 1.3570
1.2893 0.9250 7.8447
1.2893 8.2812 3.2439
1.2893 8.2812 5.9578
3.2694 0.9250 3.2439
3.2694 0.9250 5.9578
3.2694 8.2812 1.3570
3.2694 8.2812 7.8447
3.3519 3.5968 3.2835
3.3519 3.5968 5.9182
3.3519 5.6094 1.3173
3.3519 5.6094 7.8843
3.5473 2.2884 0.0000
3.5473 6.9178 4.6008
```

---

Repeat the fourth record exactly.
Computed XRD peak list
Compound: Ba2Fe2CuF14
Radiation: a wavelength of 1.5418 Å
Structure: DFT lattice parameters and positions (PBE+U)
Kinematic intensities with the Lorentz-polarization factor, no thermal factor.

Largest 8 diffraction maxima, by angle, 2θ from 10° to 80°:
d/Å, 2θ/deg, I (rel.)
5.100, 17.39, 27.4
4.223, 21.04, 39.8
3.803, 23.39, 35.2
3.580, 24.87, 100.0
3.257, 27.38, 24.7
3.059, 29.20, 44.5
2.219, 40.66, 26.3
1.690, 54.30, 23.5

Cell and atoms:
```
Ba2Fe2CuF14
1.0
7.1098 -2.7319 0.0000
7.1098 2.7319 0.0000
-0.2882 0.0000 15.2110
Ba Fe Cu F
4 4 2 28
Cartesian
2.5350 0.3082 2.0057
2.3909 -0.3082 9.6112
11.5405 0.3082 5.5997
11.3964 -0.3082 13.2052
1.6328 0.0802 5.6266
1.4887 -0.0802 13.2321
12.4427 0.0802 1.9789
12.2986 -0.0802 9.5843
7.1098 0.0000 0.0000
6.9657 0.0000 7.6055
4.4915 1.6936 3.3177
7.0520 2.4204 2.3173
7.0236 2.4204 5.2882
5.1921 1.4370 0.7148
3.3792 0.5987 6.3203
5.1328 1.1960 10.7415
5.8594 1.4366 7.8943
7.9279 1.4366 14.9221
3.2351 -0.5987 13.9258
9.5841 1.6936 4.2878
8.8834 1.4370 6.8907
6.0112 0.2867 13.6645
8.6545 1.1960 12.0749
6.1553 -0.2867 6.0590
7.7762 0.2867 9.1519
5.2769 -1.1960 3.1360
7.9203 -0.2867 1.5465
5.0480 -1.4370 8.3203
4.3474 -1.6936 10.9232
10.6964 0.5987 1.2852
6.0036 -1.4366 0.2888
8.0720 -1.4366 7.3167
8.7986 -1.1960 4.4694
10.5523 -0.5987 8.8907
8.7393 -1.4370 14.4962
6.9078 -2.4204 9.9228
6.8795 -2.4204 12.8937
9.4399 -1.6936 11.8933
```